Diffraction record for TaVRh6. The PXRD pattern is computed, not measured: it uses DFT lattice parameters and positions (GGA-PBE) and Cu Ka.
Neutral-atom scattering factors, no anomalous dispersion.

Principal peaks in the range 2θ from 5° to 70°, sorted by position:
| Position (°2θ) | I/Imax | index |
| --- | --- | --- |
| 16.2 | 8.2 | 1 0 0 |
| 28.4 | 6.9 | 1 0 1 |
| 36.8 | 3.5 | 2 1 0 |
| 40.5 | 100.0 | 2 0 1 |
| 43.9 | 2.9 | 2 1 1 |
| 47.1 | 32.3 | 2 2 0 |
| 47.3 | 16.0 | 0 0 2 |
| 50.1 | 1.1 | 3 0 0 |
| 61.4 | 1.7 | 2 1 2 |
| 66.3 | 1.9 | 3 2 1 |
| 68.7 | 10.1 | 4 0 0 |
| 68.9 | 20.1 | 2 2 2 |

Structural model:
```
data_TaVRh6
_cell_length_a 5.463
_cell_length_b 5.463
_cell_length_c 3.845
_cell_angle_alpha 90.00
_cell_angle_beta 90.00
_cell_angle_gamma 90.00
_symmetry_space_group_name_H-M 'P 4/m m m'
_symmetry_Int_Tables_number 123
_symmetry_space_group_name_Hall '-P 4 2'
loop_
_atom_site_label
_atom_site_fract_x
_atom_site_fract_y
_atom_site_fract_z
Ta1 0.000 0.000 0.000
V1 0.500 0.500 0.000
Rh1 0.000 0.500 0.000
Rh2 0.255 0.255 0.500
```

***

Diffraction record for Cs2Sc3Cl10. The PXRD pattern is computed, not measured: it uses DFT lattice parameters and positions (GGA-PBE) and Cu Ka.
Neutral-atom scattering factors, no anomalous dispersion.

Principal peaks in the range 2θ from 5° to 70°, sorted by position:
| Position (°2θ) | I/Imax | index |
| --- | --- | --- |
| 21.2 | 46.1 | 1 1 -2 |
| 21.2 | 49.5 | 3 1 1 |
| 21.5 | 42.9 | 3 1 -2 |
| 21.9 | 45.4 | 6 0 -1 |
| 29.1 | 36.2 | 6 0 -3 |
| 30.3 | 82.5 | 0 2 2 |
| 31.7 | 24.6 | 8 0 0 |
| 32.0 | 36.7 | 2 0 3 |
| 32.5 | 100.0 | 6 2 -1 |
| 37.8 | 29.0 | 0 0 4 |
| 40.2 | 28.9 | 2 2 3 |
| 49.6 | 38.5 | 8 2 2 |

Structural model:
```
data_Cs2Sc3Cl10
_cell_length_a 24.405
_cell_length_b 7.498
_cell_length_c 10.292
_cell_angle_alpha 90.00
_cell_angle_beta 112.13
_cell_angle_gamma 90.00
_symmetry_space_group_name_H-M 'C 1 2/m 1'
_symmetry_Int_Tables_number 12
loop_
_symmetry_equiv_pos_as_xyz
'x,y,z'
'-x,-y,-z'
'-x,y,-z'
'x,-y,z'
'x+1/2,y+1/2,z'
'-x+1/2,-y+1/2,-z'
'-x+1/2,y+1/2,-z'
'x+1/2,-y+1/2,z'
loop_
_atom_site_label
_atom_site_fract_x
_atom_site_fract_y
_atom_site_fract_z
Cs1 0.118 0.000 0.234
Cs2 0.224 0.000 0.820
Sc1 0.000 0.259 0.500
Sc2 0.078 0.500 0.978
Sc3 0.181 0.500 0.523
Cl1 0.000 0.280 0.000
Cl2 0.018 0.000 0.674
Cl3 0.021 0.500 0.696
Cl4 0.109 0.259 0.531
Cl5 0.131 0.500 0.249
Cl6 0.139 0.259 0.965
Cl7 0.233 0.500 0.773
Cl8 0.250 0.250 0.500
```

***

Diffraction record for KIn2Ge2. The PXRD pattern is computed, not measured: it uses DFT lattice parameters and positions (GGA-PBE) and Cu Ka.
Neutral-atom scattering factors, no anomalous dispersion.

Principal peaks in the range 2θ from 5° to 70°, sorted by position:
| Position (°2θ) | I/Imax | index |
| --- | --- | --- |
| 15.8 | 42.5 | 0 0 2 |
| 19.6 | 45.9 | 1 0 1 |
| 30.0 | 51.2 | 1 0 3 |
| 30.1 | 100.0 | 1 1 2 |
| 36.3 | 94.9 | 2 0 0 |
| 39.9 | 17.4 | 2 0 2 |
| 41.3 | 87.2 | 1 1 4 |
| 44.4 | 20.2 | 1 0 5 |
| 47.8 | 26.7 | 2 1 3 |
| 52.4 | 33.1 | 2 2 0 |
| 61.6 | 30.1 | 3 1 2 |
| 68.8 | 37.5 | 3 1 4 |

Structural model:
```
data_KIn2Ge2
_cell_length_a 4.943
_cell_length_b 4.943
_cell_length_c 11.206
_cell_angle_alpha 90.00
_cell_angle_beta 90.00
_cell_angle_gamma 90.00
_symmetry_space_group_name_H-M 'P 4/n m m'
_symmetry_Int_Tables_number 129
loop_
_symmetry_equiv_pos_as_xyz
'x,y,z'
'-x,-y,-z'
'-y+1/2,x,z'
'y+1/2,-x,-z'
'-x+1/2,-y+1/2,z'
'x+1/2,y+1/2,-z'
'y,-x+1/2,z'
'-y,x+1/2,-z'
'x+1/2,-y,-z'
'-x+1/2,y,z'
'-y,-x,-z'
'y,x,z'
'-x,y+1/2,-z'
'x,-y+1/2,z'
'y+1/2,x+1/2,-z'
'-y+1/2,-x+1/2,z'
loop_
_atom_site_label
_atom_site_fract_x
_atom_site_fract_y
_atom_site_fract_z
K1 0.250 0.250 0.243
In1 0.250 0.250 0.873
In2 0.250 0.750 0.500
Ge1 0.250 0.250 0.629
Ge2 0.250 0.750 0.000
```

***

Diffraction record for LaTbY2Tm. The PXRD pattern is computed, not measured: it uses DFT lattice parameters and positions (GGA-PBE) and Cu Ka.
Neutral-atom scattering factors, no anomalous dispersion.

Principal peaks in the range 2θ from 5° to 70°, sorted by position:
| Position (°2θ) | I/Imax | index |
| --- | --- | --- |
| 20.5 | 29.2 | 0 0 2 |
| 26.1 | 18.7 | 0 1 2 |
| 31.3 | 100.0 | 1 1 1 |
| 32.1 | 33.1 | 0 2 0 |
| 32.3 | 14.3 | 1 0 2 |
| 35.0 | 16.9 | 0 1 3 |
| 36.2 | 13.2 | 1 1 2 |
| 38.4 | 12.0 | 0 2 2 |
| 43.3 | 11.6 | 1 1 3 |
| 46.2 | 10.6 | 1 2 2 |
| 56.7 | 18.4 | 1 3 1 |
| 61.7 | 17.7 | 1 1 5 |

Structural model:
```
data_LaTbY2Tm
_cell_length_a 3.609
_cell_length_b 5.575
_cell_length_c 8.657
_cell_angle_alpha 90.00
_cell_angle_beta 90.00
_cell_angle_gamma 90.00
_symmetry_space_group_name_H-M 'P m m m'
_symmetry_Int_Tables_number 47
loop_
_symmetry_equiv_pos_as_xyz
'x,y,z'
'-x,-y,-z'
'-x,-y,z'
'x,y,-z'
'x,-y,-z'
'-x,y,z'
'-x,y,-z'
'x,-y,z'
loop_
_atom_site_label
_atom_site_fract_x
_atom_site_fract_y
_atom_site_fract_z
La1 0.000 0.000 0.000
Tb1 0.500 0.500 0.000
Y1 0.000 0.500 0.321
Tm1 0.500 0.000 0.500
```

***

Diffraction record for LiAc2Sn2. The PXRD pattern is computed, not measured: it uses DFT lattice parameters and positions (GGA-PBE) and Cu Ka.
Neutral-atom scattering factors, no anomalous dispersion.

Principal peaks in the range 2θ from 5° to 70°, sorted by position:
| Position (°2θ) | I/Imax | index |
| --- | --- | --- |
| 23.1 | 29.1 | 1 1 1 |
| 28.7 | 72.1 | 3 1 -1 |
| 29.0 | 40.4 | 2 0 2 |
| 29.1 | 100.0 | 1 1 -3 |
| 29.4 | 36.4 | 4 0 -2 |
| 31.7 | 24.1 | 3 1 -3 |
| 34.3 | 18.6 | 0 0 4 |
| 35.2 | 44.4 | 3 1 1 |
| 36.3 | 40.4 | 0 2 0 |
| 47.4 | 22.5 | 4 2 -2 |
| 51.2 | 15.9 | 6 0 0 |
| 60.8 | 15.0 | 3 3 -1 |

Structural model:
```
data_LiAc2Sn2
_cell_length_a 12.177
_cell_length_b 4.945
_cell_length_c 11.887
_cell_angle_alpha 90.00
_cell_angle_beta 118.44
_cell_angle_gamma 90.00
_symmetry_space_group_name_H-M 'C 1 2/m 1'
_symmetry_Int_Tables_number 12
loop_
_symmetry_equiv_pos_as_xyz
'x,y,z'
'-x,-y,-z'
'-x,y,-z'
'x,-y,z'
'x+1/2,y+1/2,z'
'-x+1/2,-y+1/2,-z'
'-x+1/2,y+1/2,-z'
'x+1/2,-y+1/2,z'
loop_
_atom_site_label
_atom_site_fract_x
_atom_site_fract_y
_atom_site_fract_z
Li1 0.227 0.000 0.364
Ac1 0.013 0.500 0.334
Ac2 0.188 0.500 0.098
Sn1 0.010 0.000 0.878
Sn2 0.142 0.000 0.572
```

***

Diffraction record for BaTl3B4O12. The PXRD pattern is computed, not measured: it uses DFT lattice parameters and positions (GGA-PBE) and Cu Ka.
Neutral-atom scattering factors, no anomalous dispersion.

Principal peaks in the range 2θ from 5° to 70°, sorted by position:
| Position (°2θ) | I/Imax | index |
| --- | --- | --- |
| 17.2 | 19.8 | 1 1 0 |
| 22.3 | 100.0 | 0 2 1 |
| 28.3 | 14.6 | 2 1 1 |
| 28.5 | 93.5 | 2 0 2 |
| 30.5 | 10.7 | 0 0 3 |
| 34.8 | 29.5 | 2 2 0 |
| 37.7 | 12.2 | 1 3 1 |
| 41.7 | 18.3 | 4 0 1 |
| 41.8 | 22.3 | 3 1 2 |
| 45.5 | 11.9 | 0 4 2 |
| 46.0 | 23.5 | 0 2 4 |
| 46.9 | 31.4 | 2 2 3 |

Structural model:
```
data_BaTl3B4O12
_cell_length_a 10.3216
_cell_length_b 10.3216
_cell_length_c 8.7848
_cell_angle_alpha 90.00
_cell_angle_beta 90.00
_cell_angle_gamma 120.00
_symmetry_space_group_name_H-M 'R 3 2'
_symmetry_Int_Tables_number 155
_symmetry_space_group_name_Hall 'R 3 2"'
loop_
_atom_site_label
_atom_site_fract_x
_atom_site_fract_y
_atom_site_fract_z
Ba1 0.0000 0.0000 0.0000
Tl1 0.0000 0.5388 0.0000
B1 0.0000 0.0000 0.5000
B2 0.0000 0.4559 0.5000
O1 0.0000 0.5923 0.5000
O2 0.0000 0.8659 0.5000
O3 0.0044 0.2029 0.1907
```